Record 1
Tl7Hg4: simulated XRD peak list (copper Kα), based on the GGA-PBE geometry in Alexandria.
Neutral-atom scattering factors, no anomalous dispersion.

Structure:
a = 10.2516 Å, b = 10.2516 Å, c = 3.6691 Å
α = 90.00°, β = 90.00°, γ = 120.00°
Element x y z (fractional)
Tl1 0.0000 0.0000 0.0000
Tl2 0.1862 0.3725 0.5000
Tl3 0.1862 0.8138 0.5000
Tl4 0.5349 0.0698 0.0000
Tl5 0.5349 0.4651 0.0000
Tl6 0.6275 0.8138 0.5000
Tl7 0.9302 0.4651 0.0000
Hg1 0.3323 0.1661 0.5000
Hg2 0.3333 0.6667 0.0000
Hg3 0.8339 0.1661 0.5000
Hg4 0.8339 0.6677 0.5000

Main lines, in order of rising 2θ (10 to 80 degrees two-theta):
- 2θ 26.6, I = 23
- 2θ 29.9, I = 36
- 2θ 30.2, I = 25
- 2θ 31.6, I = 100
- 2θ 35.0, I = 89
- 2θ 36.3, I = 49
- 2θ 39.1, I = 14
- 2θ 47.9, I = 17
- 2θ 49.7, I = 17
- 2θ 53.5, I = 16
- 2θ 57.7, I = 18
- 2θ 62.2, I = 35

Record 2
TlHg2: simulated XRD peak list (copper Kα), based on the GGA-PBE geometry in Alexandria.
Neutral-atom scattering factors, no anomalous dispersion.

Structure:
a = 7.4180 Å, b = 7.4180 Å, c = 5.1593 Å
α = 90.00°, β = 90.00°, γ = 143.02°
Element x y z (fractional)
Tl1 0.0868 0.9132 0.7500
Tl2 0.9132 0.0868 0.2500
Hg1 0.2475 0.7525 0.2500
Hg2 0.4117 0.5883 0.7500
Hg3 0.5883 0.4117 0.2500
Hg4 0.7525 0.2475 0.7500

Main lines, in order of rising 2θ (10 to 80 degrees two-theta):
- 2θ 32.0, I = 100
- 2θ 34.8, I = 20
- 2θ 38.3, I = 16
- 2θ 38.4, I = 15
- 2θ 52.7, I = 13
- 2θ 52.8, I = 12
- 2θ 55.3, I = 11
- 2θ 60.6, I = 17
- 2θ 65.3, I = 13
- 2θ 65.5, I = 13
- 2θ 67.0, I = 12
- 2θ 73.4, I = 2

Record 3
Tl3Hg13: simulated XRD peak list (copper Kα), based on the GGA-PBE geometry in Alexandria.
Neutral-atom scattering factors, no anomalous dispersion.

Structure:
a = 9.2336 Å, b = 7.0500 Å, c = 7.0500 Å
α = 88.33°, β = 90.00°, γ = 90.00°
Element x y z (fractional)
Tl1 0.0000 0.0000 0.0000
Tl2 0.2627 0.2699 0.2699
Tl3 0.7373 0.2699 0.2699
Hg1 0.0000 0.0108 0.5051
Hg2 0.0000 0.5051 0.0108
Hg3 0.0000 0.5137 0.5137
Hg4 0.2472 0.7589 0.7589
Hg5 0.2535 0.2654 0.7648
Hg6 0.2535 0.7648 0.2654
Hg7 0.5000 0.0015 0.5260
Hg8 0.5000 0.0070 0.0070
Hg9 0.5000 0.5208 0.5208
Hg10 0.5000 0.5260 0.0015
Hg11 0.7465 0.2654 0.7648
Hg12 0.7465 0.7648 0.2654
Hg13 0.7528 0.7589 0.7589

Main lines, in order of rising 2θ (10 to 80 degrees two-theta):
- 2θ 32.0, I = 100
- 2θ 35.5, I = 19
- 2θ 36.6, I = 18
- 2θ 39.0, I = 15
- 2θ 51.9, I = 13
- 2θ 53.8, I = 12
- 2θ 54.6, I = 11
- 2θ 61.5, I = 15
- 2θ 63.0, I = 14
- 2θ 66.3, I = 12
- 2θ 66.8, I = 12
- 2θ 75.1, I = 2

Record 4
Tl2Hg17: simulated XRD peak list (copper Kα), based on the GGA-PBE geometry in Alexandria.
Neutral-atom scattering factors, no anomalous dispersion.

Structure:
a = 8.7034 Å, b = 8.7034 Å, c = 8.7034 Å
α = 69.58°, β = 69.58°, γ = 69.58°
Element x y z (fractional)
Tl1 0.1983 0.1983 0.1983
Tl2 0.8017 0.8017 0.8017
Hg1 0.0000 0.5000 0.5000
Hg2 0.0995 0.0995 0.6686
Hg3 0.0995 0.6686 0.0995
Hg4 0.1945 0.5000 0.8055
Hg5 0.1945 0.8055 0.5000
Hg6 0.3314 0.9005 0.9005
Hg7 0.4097 0.4097 0.4097
Hg8 0.5000 0.0000 0.5000
Hg9 0.5000 0.1945 0.8055
Hg10 0.5000 0.5000 0.0000
Hg11 0.5000 0.8055 0.1945
Hg12 0.5903 0.5903 0.5903
Hg13 0.6686 0.0995 0.0995
Hg14 0.8055 0.1945 0.5000
Hg15 0.8055 0.5000 0.1945
Hg16 0.9005 0.3314 0.9005
Hg17 0.9005 0.9005 0.3314

Main lines, in order of rising 2θ (10 to 80 degrees two-theta):
- 2θ 27.2, I = 16
- 2θ 27.6, I = 17
- 2θ 28.9, I = 31
- 2θ 30.8, I = 100
- 2θ 31.2, I = 24
- 2θ 32.8, I = 28
- 2θ 34.1, I = 98
- 2θ 36.2, I = 35
- 2θ 38.8, I = 41
- 2θ 41.9, I = 13
- 2θ 61.8, I = 18
- 2θ 65.1, I = 14

Record 5
TlHg: simulated XRD peak list (copper Kα), based on the GGA-PBE geometry in Alexandria.
Neutral-atom scattering factors, no anomalous dispersion.

Structure:
a = 3.4861 Å, b = 3.4861 Å, c = 10.2007 Å
α = 90.00°, β = 90.00°, γ = 109.51°
Element x y z (fractional)
Tl1 0.2500 0.7500 0.8633
Tl2 0.7500 0.2500 0.1367
Hg1 0.2500 0.7500 0.3851
Hg2 0.7500 0.2500 0.6149

Main lines, in order of rising 2θ (10 to 80 degrees two-theta):
- 2θ 31.4, I = 28
- 2θ 32.4, I = 100
- 2θ 35.2, I = 19
- 2θ 45.1, I = 10
- 2θ 47.9, I = 16
- 2θ 56.0, I = 11
- 2θ 56.6, I = 21
- 2θ 58.4, I = 9
- 2θ 61.4, I = 14
- 2θ 67.9, I = 12
- 2θ 75.1, I = 9
- 2θ 79.3, I = 7

Record 6
Tl5Hg: simulated XRD peak list (copper Kα), based on the GGA-PBE geometry in Alexandria.
Neutral-atom scattering factors, no anomalous dispersion.

Structure:
a = 5.9163 Å, b = 5.9163 Å, c = 5.9996 Å
α = 90.00°, β = 90.00°, γ = 120.00°
Element x y z (fractional)
Tl1 0.0000 0.6688 0.0000
Tl2 0.3312 0.3312 0.0000
Tl3 0.3333 0.6667 0.5000
Tl4 0.6667 0.3333 0.5000
Tl5 0.6688 0.0000 0.0000
Hg1 0.0000 0.0000 0.5000

Main lines, in order of rising 2θ (10 to 80 degrees two-theta):
- 2θ 29.8, I = 31
- 2θ 30.2, I = 22
- 2θ 33.8, I = 100
- 2θ 42.9, I = 17
- 2θ 53.7, I = 18
- 2θ 55.5, I = 25
- 2θ 61.9, I = 4
- 2θ 62.6, I = 23
- 2θ 62.8, I = 3
- 2θ 64.9, I = 16
- 2θ 70.4, I = 4
- 2θ 71.1, I = 4

Record 7
Tl2Hg5: simulated XRD peak list (copper Kα), based on the GGA-PBE geometry in Alexandria.
Neutral-atom scattering factors, no anomalous dispersion.

Structure:
a = 8.6343 Å, b = 8.6343 Å, c = 8.6343 Å
α = 35.87°, β = 35.87°, γ = 35.87°
Element x y z (fractional)
Tl1 0.1351 0.1351 0.1351
Tl2 0.8649 0.8649 0.8649
Hg1 0.0000 0.0000 0.0000
Hg2 0.2854 0.2854 0.2854
Hg3 0.4228 0.4228 0.4228
Hg4 0.5772 0.5772 0.5772
Hg5 0.7146 0.7146 0.7146

Main lines, in order of rising 2θ (10 to 80 degrees two-theta):
- 2θ 32.4, I = 100
- 2θ 33.7, I = 95
- 2θ 35.5, I = 2
- 2θ 42.2, I = 2
- 2θ 47.4, I = 35
- 2θ 56.9, I = 18
- 2θ 59.5, I = 36
- 2θ 60.3, I = 18
- 2θ 67.8, I = 11
- 2θ 69.0, I = 1
- 2θ 70.9, I = 11
- 2θ 77.9, I = 15

Record 8
Tl7Hg: simulated XRD peak list (copper Kα), based on the GGA-PBE geometry in Alexandria.
Neutral-atom scattering factors, no anomalous dispersion.

Structure:
a = 11.2692 Å, b = 11.2692 Å, c = 11.2692 Å
α = 155.74°, β = 155.74°, γ = 34.57°
Element x y z (fractional)
Tl1 0.0000 0.0000 0.0000
Tl2 0.1237 0.6237 0.5000
Tl3 0.2505 0.2505 0.0000
Tl4 0.3763 0.8763 0.5000
Tl5 0.6237 0.1237 0.5000
Tl6 0.7495 0.7495 0.0000
Tl7 0.8763 0.3763 0.5000
Hg1 0.5000 0.5000 0.0000

Main lines, in order of rising 2θ (10 to 80 degrees two-theta):
- 2θ 31.5, I = 100
- 2θ 33.3, I = 22
- 2θ 38.0, I = 30
- 2θ 51.4, I = 26
- 2θ 54.8, I = 11
- 2θ 58.4, I = 18
- 2θ 64.6, I = 26
- 2θ 65.7, I = 13
- 2θ 69.9, I = 3

Record 9
TlHg2: simulated XRD peak list (copper Kα), based on the GGA-PBE geometry in Alexandria.
Neutral-atom scattering factors, no anomalous dispersion.

Structure:
a = 7.2281 Å, b = 7.2281 Å, c = 7.2392 Å
α = 102.08°, β = 102.08°, γ = 27.66°
Element x y z (fractional)
Tl1 0.0000 0.0000 0.0000
Tl2 0.6749 0.6749 0.3573
Hg1 0.3364 0.3364 0.1761
Hg2 0.3375 0.3375 0.6783
Hg3 0.6752 0.6752 0.8454
Hg4 0.9980 0.9980 0.5075

Main lines, in order of rising 2θ (10 to 80 degrees two-theta):
- 2θ 30.9, I = 56
- 2θ 32.2, I = 51
- 2θ 32.5, I = 100
- 2θ 35.9, I = 77
- 2θ 39.4, I = 29
- 2θ 50.5, I = 15
- 2θ 53.5, I = 24
- 2θ 55.3, I = 22
- 2θ 60.5, I = 17
- 2θ 62.1, I = 16
- 2θ 62.6, I = 16
- 2θ 63.4, I = 15

Record 10
Tm4Tl4Hg: simulated XRD peak list (copper Kα), based on the GGA-PBE geometry in Alexandria.
Neutral-atom scattering factors, no anomalous dispersion.

Structure:
a = 7.1062 Å, b = 7.1062 Å, c = 7.1062 Å
α = 113.25°, β = 113.25°, γ = 102.14°
Element x y z (fractional)
Tm1 0.0533 0.5874 0.0000
Tm2 0.4126 0.4126 0.4658
Tm3 0.5874 0.0533 0.0000
Tm4 0.9467 0.9467 0.5342
Tl1 0.0000 0.5000 0.5000
Tl2 0.3429 0.3429 0.0000
Tl3 0.5000 0.0000 0.5000
Tl4 0.6571 0.6571 0.0000
Hg1 0.0000 0.0000 0.0000

Main lines, in order of rising 2θ (10 to 80 degrees two-theta):
- 2θ 25.6, I = 53
- 2θ 30.4, I = 65
- 2θ 32.2, I = 21
- 2θ 32.4, I = 100
- 2θ 39.8, I = 38
- 2θ 41.8, I = 27
- 2θ 43.7, I = 21
- 2θ 46.3, I = 18
- 2θ 46.5, I = 36
- 2θ 55.5, I = 20
- 2θ 56.5, I = 21
- 2θ 72.1, I = 18

Record 11
Tm2TlHg3: simulated XRD peak list (copper Kα), based on the GGA-PBE geometry in Alexandria.
Neutral-atom scattering factors, no anomalous dispersion.

Structure:
a = 3.7618 Å, b = 3.7618 Å, c = 10.7894 Å
α = 90.00°, β = 90.00°, γ = 90.00°
Element x y z (fractional)
Tm1 0.0000 0.0000 0.1687
Tm2 0.0000 0.0000 0.8313
Tl1 0.0000 0.0000 0.5000
Hg1 0.5000 0.5000 0.0000
Hg2 0.5000 0.5000 0.3179
Hg3 0.5000 0.5000 0.6821

Main lines, in order of rising 2θ (10 to 80 degrees two-theta):
- 2θ 25.1, I = 1
- 2θ 28.9, I = 1
- 2θ 33.7, I = 55
- 2θ 34.5, I = 100
- 2θ 48.0, I = 1
- 2θ 48.4, I = 20
- 2θ 50.8, I = 8
- 2θ 60.8, I = 40
- 2θ 62.3, I = 17
- 2θ 65.4, I = 2
- 2θ 70.9, I = 7
- 2θ 72.8, I = 11

Record 12
Tm11Tl9Hg4: simulated XRD peak list (copper Kα), based on the GGA-PBE geometry in Alexandria.
Neutral-atom scattering factors, no anomalous dispersion.

Structure:
a = 13.5241 Å, b = 13.5241 Å, c = 3.7403 Å
α = 90.00°, β = 90.00°, γ = 113.24°
Element x y z (fractional)
Tm1 0.0000 0.0000 0.0000
Tm2 0.0684 0.4128 0.0000
Tm3 0.1623 0.8377 0.0000
Tm4 0.2830 0.2830 0.0000
Tm5 0.3548 0.6452 0.0000
Tm6 0.4128 0.0684 0.0000
Tm7 0.5872 0.9316 0.0000
Tm8 0.6452 0.3548 0.0000
Tm9 0.7170 0.7170 0.0000
Tm10 0.8377 0.1623 0.0000
Tm11 0.9316 0.5872 0.0000
Tl1 0.0543 0.2087 0.5000
Tl2 0.1412 0.6322 0.5000
Tl3 0.2087 0.0543 0.5000
Tl4 0.3678 0.8588 0.5000
Tl5 0.5000 0.5000 0.5000
Tl6 0.6322 0.1412 0.5000
Tl7 0.7913 0.9457 0.5000
Tl8 0.8588 0.3678 0.5000
Tl9 0.9457 0.7913 0.5000
Hg1 0.2552 0.4511 0.5000
Hg2 0.4511 0.2552 0.5000
Hg3 0.5489 0.7448 0.5000
Hg4 0.7448 0.5489 0.5000

Main lines, in order of rising 2θ (10 to 80 degrees two-theta):
- 2θ 31.1, I = 7
- 2θ 32.3, I = 9
- 2θ 33.8, I = 100
- 2θ 34.0, I = 49
- 2θ 36.1, I = 5
- 2θ 48.4, I = 8
- 2θ 48.7, I = 13
- 2θ 49.0, I = 7
- 2θ 60.4, I = 10
- 2θ 60.6, I = 20
- 2θ 60.8, I = 13
- 2θ 71.1, I = 5

Record 13
Tm8TlHg2: simulated XRD peak list (copper Kα), based on the GGA-PBE geometry in Alexandria.
Neutral-atom scattering factors, no anomalous dispersion.

Structure:
a = 8.3576 Å, b = 8.3576 Å, c = 5.4317 Å
α = 100.36°, β = 100.36°, γ = 116.96°
Element x y z (fractional)
Tm1 0.0952 0.3309 0.6133
Tm2 0.2234 0.7766 0.0000
Tm3 0.3309 0.0952 0.6133
Tm4 0.3965 0.3965 0.1997
Tm5 0.6035 0.6035 0.8003
Tm6 0.6691 0.9048 0.3867
Tm7 0.7766 0.2234 0.0000
Tm8 0.9048 0.6691 0.3867
Tl1 0.0000 0.0000 0.0000
Hg1 0.3036 0.6964 0.5000
Hg2 0.6964 0.3036 0.5000

Main lines, in order of rising 2θ (10 to 80 degrees two-theta):
- 2θ 30.2, I = 46
- 2θ 30.6, I = 72
- 2θ 32.0, I = 99
- 2θ 32.4, I = 41
- 2θ 33.3, I = 100
- 2θ 33.6, I = 54
- 2θ 35.9, I = 100
- 2θ 36.7, I = 28
- 2θ 38.0, I = 28
- 2θ 44.9, I = 30
- 2θ 56.5, I = 27
- 2θ 67.7, I = 32

Record 14
Tm7TlHg2: simulated XRD peak list (copper Kα), based on the GGA-PBE geometry in Alexandria.
Neutral-atom scattering factors, no anomalous dispersion.

Structure:
a = 5.1909 Å, b = 5.1909 Å, c = 12.4099 Å
α = 90.00°, β = 90.00°, γ = 120.00°
Element x y z (fractional)
Tm1 0.0000 0.0000 0.0000
Tm2 0.0000 0.0000 0.2649
Tm3 0.0000 0.0000 0.5339
Tm4 0.3333 0.6667 0.1311
Tm5 0.3333 0.6667 0.6939
Tm6 0.6667 0.3333 0.3861
Tm7 0.6667 0.3333 0.8485
Tl1 0.3333 0.6667 0.4199
Hg1 0.0000 0.0000 0.7669
Hg2 0.6667 0.3333 0.1237

Main lines, in order of rising 2θ (10 to 80 degrees two-theta):
- 2θ 21.0, I = 14
- 2θ 21.5, I = 12
- 2θ 24.5, I = 6
- 2θ 29.3, I = 20
- 2θ 34.6, I = 100
- 2θ 35.1, I = 81
- 2θ 41.1, I = 14
- 2θ 50.1, I = 30
- 2θ 61.9, I = 19
- 2θ 62.3, I = 31
- 2θ 63.6, I = 14
- 2θ 72.9, I = 12